Starting from the GGA+U geometry in Alexandria, the XRD peak list of Sr4Fe2MoWO12 was calculated for Cu Kα (λ = 1.5418 Å).
Kinematic intensities with the Lorentz-polarization factor, no thermal factor.

Structural model:
```
Sr4Fe2MoWO12
1.0
5.643 0.000 0.000
2.798 4.949 0.000
2.799 1.501 9.279
Sr Fe Mo W O
4 2 1 1 12
direct
0.115 0.129 0.136
0.376 0.371 0.385
0.624 0.629 0.615
0.885 0.871 0.864
0.251 0.251 0.746
0.749 0.749 0.254
0.000 0.000 0.500
0.500 0.500 0.000
0.061 0.176 0.634
0.116 0.614 0.101
0.155 0.623 0.642
0.374 0.842 0.865
0.388 0.908 0.385
0.437 0.319 0.880
0.563 0.681 0.120
0.612 0.092 0.615
0.626 0.158 0.135
0.845 0.377 0.358
0.884 0.386 0.899
0.939 0.824 0.366
```

Top 12 peaks for 2θ = 10–90°, by angle:
Position (°2θ), d [Å], I (rel.), (hkl)
19.14, 4.637, 25, 0 1 1
31.39, 2.850, 100, 1 0 3
31.48, 2.842, 34, 1 2 1
31.69, 2.823, 67, 2 1 1
44.60, 2.032, 23, 0 2 -2
45.33, 2.000, 21, 2 0 -2
45.53, 1.992, 20, 2 2 4
55.71, 1.650, 21, 0 3 1
56.18, 1.637, 20, 3 0 1
56.31, 1.634, 27, 1 3 4
65.55, 1.424, 13, 2 2 -4
83.30, 1.160, 9, 4 0 4